(1)
U2SnRh2: simulated X-ray diffraction stick pattern (a wavelength of 1.5418 Å), based on a DFT-relaxed cell (GGA-PBE, Alexandria).

Crystal structure
a = 7.637 Å, b = 7.637 Å, c = 3.561 Å
α = 90.00°, β = 90.00°, γ = 90.00°
Space group P4/mbm (No. 127)
Unique sites:
U1 0.167 0.333 0.000 [4 per cell]
Sn1 0.000 0.000 0.500 [2 per cell]
Rh1 0.137 0.637 0.500 [4 per cell]

Most intense lines, 2θ = 10–90°, in order of rising 2θ:
| index | 2θ/deg | d [Å] | Rel. int. |
| --- | --- | --- | --- |
| 2 1 0 | 26.09 | 3.415 | 15 |
| 2 0 1 | 34.44 | 2.604 | 24 |
| 2 1 1 | 36.45 | 2.465 | 100 |
| 3 1 0 | 37.23 | 2.415 | 41 |
| 3 3 0 | 50.72 | 1.800 | 9 |
| 0 0 2 | 51.31 | 1.780 | 12 |
| 4 1 1 | 55.96 | 1.643 | 18 |
| 3 3 1 | 57.36 | 1.606 | 10 |
| 3 1 2 | 65.09 | 1.433 | 16 |
| 5 2 1 | 71.63 | 1.317 | 16 |

(2)
Cs3Rb3Ag4: simulated X-ray diffraction stick pattern (a wavelength of 1.5418 Å), based on a DFT-relaxed cell (GGA-PBE, Alexandria).

Crystal structure
a = 5.454 Å, b = 13.610 Å, c = 13.556 Å
α = 90.00°, β = 90.00°, γ = 90.00°
Space group Amm2 (No. 38)
Unique sites:
Cs1 0.000 0.000 0.000 [2 per cell]
Cs2 0.000 0.167 0.664 [4 per cell]
Rb1 0.000 0.000 0.331 [2 per cell]
Rb2 0.500 0.248 0.415 [4 per cell]
Ag1 0.500 0.000 0.554 [2 per cell]
Ag2 0.500 0.000 0.769 [2 per cell]
Ag3 0.500 0.106 0.170 [4 per cell]

Most intense lines, 2θ = 10–90°, in order of rising 2θ:
| index | 2θ/deg | d [Å] | Rel. int. |
| --- | --- | --- | --- |
| 0 0 2 | 13.04 | 6.788 | 30 |
| 1 2 2 | 24.70 | 3.604 | 70 |
| 1 3 1 | 26.38 | 3.379 | 100 |
| 1 1 3 | 26.44 | 3.371 | 87 |
| 0 2 4 | 29.41 | 3.037 | 55 |
| 2 0 0 | 32.84 | 2.727 | 39 |
| 0 4 4 | 37.49 | 2.399 | 23 |
| 2 2 4 | 44.66 | 2.029 | 34 |
| 1 6 4 | 51.31 | 1.781 | 29 |
| 3 3 1 | 54.83 | 1.674 | 23 |

(3)
LiYZn: simulated X-ray diffraction stick pattern (a wavelength of 1.5418 Å), based on a DFT-relaxed cell (GGA-PBE, Alexandria).

Crystal structure
a = 10.122 Å, b = 3.667 Å, c = 3.666 Å
α = 90.00°, β = 110.91°, γ = 90.00°
Space group Cm (No. 8)
Unique sites:
Li1 0.000 0.000 0.000 [2 per cell]
Y1 0.192 0.500 0.691 [2 per cell]
Zn1 0.362 0.000 0.359 [2 per cell]

Most intense lines, 2θ = 10–90°, in order of rising 2θ:
| index | 2θ/deg | d [Å] | Rel. int. |
| --- | --- | --- | --- |
| 2 0 0 | 18.77 | 4.727 | 47 |
| 2 0 -1 | 26.07 | 3.418 | 96 |
| 1 1 -1 | 34.60 | 2.592 | 100 |
| 2 0 1 | 37.53 | 2.396 | 40 |
| 3 1 0 | 37.63 | 2.390 | 78 |
| 4 0 -1 | 37.75 | 2.383 | 39 |
| 0 2 0 | 49.74 | 1.833 | 35 |
| 2 2 -1 | 56.99 | 1.616 | 15 |
| 2 2 1 | 63.91 | 1.457 | 31 |
| 5 1 -2 | 64.12 | 1.452 | 33 |

(4)
HfPt7: simulated X-ray diffraction stick pattern (a wavelength of 1.5418 Å), based on a DFT-relaxed cell (GGA-PBE, Alexandria).

Crystal structure
a = 3.994 Å, b = 3.994 Å, c = 16.137 Å
α = 90.00°, β = 90.00°, γ = 90.00°
Space group I4/mmm (No. 139)
Unique sites:
Hf1 0.000 0.000 0.000 [2 per cell]
Pt1 0.000 0.000 0.255 [4 per cell]
Pt2 0.000 0.000 0.500 [2 per cell]
Pt3 0.000 0.500 0.123 [8 per cell]

Most intense lines, 2θ = 10–90°, in order of rising 2θ:
| index | 2θ/deg | d [Å] | Rel. int. |
| --- | --- | --- | --- |
| 1 1 4 | 38.93 | 2.314 | 100 |
| 0 0 8 | 44.94 | 2.017 | 16 |
| 2 0 0 | 45.41 | 1.997 | 33 |
| 2 0 8 | 65.80 | 1.419 | 21 |
| 2 2 0 | 66.17 | 1.412 | 11 |
| 1 1 12 | 78.83 | 1.214 | 13 |
| 3 1 4 | 79.52 | 1.205 | 26 |
| 2 2 8 | 83.58 | 1.157 | 11 |

Copy entry 4 word for word.
HfPt7: simulated X-ray diffraction stick pattern (a wavelength of 1.5418 Å), based on a DFT-relaxed cell (GGA-PBE, Alexandria).

Crystal structure
a = 3.994 Å, b = 3.994 Å, c = 16.137 Å
α = 90.00°, β = 90.00°, γ = 90.00°
Space group I4/mmm (No. 139)
Unique sites:
Hf1 0.000 0.000 0.000 [2 per cell]
Pt1 0.000 0.000 0.255 [4 per cell]
Pt2 0.000 0.000 0.500 [2 per cell]
Pt3 0.000 0.500 0.123 [8 per cell]

Most intense lines, 2θ = 10–90°, in order of rising 2θ:
| index | 2θ/deg | d [Å] | Rel. int. |
| --- | --- | --- | --- |
| 1 1 4 | 38.93 | 2.314 | 100 |
| 0 0 8 | 44.94 | 2.017 | 16 |
| 2 0 0 | 45.41 | 1.997 | 33 |
| 2 0 8 | 65.80 | 1.419 | 21 |
| 2 2 0 | 66.17 | 1.412 | 11 |
| 1 1 12 | 78.83 | 1.214 | 13 |
| 3 1 4 | 79.52 | 1.205 | 26 |
| 2 2 8 | 83.58 | 1.157 | 11 |

Please write out number 3 again, unchanged.
LiYZn: simulated X-ray diffraction stick pattern (a wavelength of 1.5418 Å), based on a DFT-relaxed cell (GGA-PBE, Alexandria).

Crystal structure
a = 10.122 Å, b = 3.667 Å, c = 3.666 Å
α = 90.00°, β = 110.91°, γ = 90.00°
Space group Cm (No. 8)
Unique sites:
Li1 0.000 0.000 0.000 [2 per cell]
Y1 0.192 0.500 0.691 [2 per cell]
Zn1 0.362 0.000 0.359 [2 per cell]

Most intense lines, 2θ = 10–90°, in order of rising 2θ:
| index | 2θ/deg | d [Å] | Rel. int. |
| --- | --- | --- | --- |
| 2 0 0 | 18.77 | 4.727 | 47 |
| 2 0 -1 | 26.07 | 3.418 | 96 |
| 1 1 -1 | 34.60 | 2.592 | 100 |
| 2 0 1 | 37.53 | 2.396 | 40 |
| 3 1 0 | 37.63 | 2.390 | 78 |
| 4 0 -1 | 37.75 | 2.383 | 39 |
| 0 2 0 | 49.74 | 1.833 | 35 |
| 2 2 -1 | 56.99 | 1.616 | 15 |
| 2 2 1 | 63.91 | 1.457 | 31 |
| 5 1 -2 | 64.12 | 1.452 | 33 |